The following is a theoretical powder XRD pattern of Ni2SnWO6. It was derived from a GGA+U-relaxed structure, using Cu Kα, 1.54184 Å.
Intensities are scaled so that the largest is 100.

Largest 10 diffraction maxima, low angle first, 15° ≤ 2θ ≤ 90°:
two_theta	I_rel	index
21.40	45.4	1 1 0
23.02	100.0	0 0 1
30.44	71.8	2 0 0
38.51	54.3	2 0 1
43.59	46.3	2 2 0
47.04	18.5	0 0 2
49.86	48.3	2 2 1
57.07	25.0	2 0 2
66.07	24.9	2 2 2
68.35	18.2	4 0 1

Structure:
Lattice parameters (Å, degrees): 5.8724 5.8724 3.8633 90.00 90.00 90.00
Atoms (fractional coordinates):
Ni  0.0000  0.5000  0.0000
Ni  0.5000  0.0000  0.0000
Sn  0.0000  0.0000  0.0000
W  0.5000  0.5000  0.0000
O  0.0000  0.0000  0.5000
O  0.2628  0.2628  0.0000
O  0.2628  0.7372  0.0000
O  0.5000  0.5000  0.5000
O  0.7372  0.2628  0.0000
O  0.7372  0.7372  0.0000